Record 1
Structure and computed PXRD pattern of Mg4Cd3Hg4 (DFT lattice parameters and positions (PBE); CuKα).
Lines closer than 0.1° are merged.

The 8 most intense peaks (2θ from 5° to 70°), low angle first:
- d 4.126, I = 46.8
- d 4.075, I = 39.4
- d 3.216, I = 100.0
- d 2.751, I = 66.6
- d 2.536, I = 65.4
- d 2.524, I = 47.8
- d 2.362, I = 57.4
- d 2.090, I = 55.5

Atomic structure:
Lattice parameters (Å, degrees): 9.4452 3.2160 9.4553 90.00 119.17 90.00
Element x y z (fractional)
Mg  0.2313  0.0000  0.2312
Mg  0.2491  0.0000  0.7496
Mg  0.7509  0.0000  0.2504
Mg  0.7687  0.0000  0.7688
Cd  0.0914  0.5000  0.9091
Cd  0.5000  0.5000  0.5000
Cd  0.9086  0.5000  0.0909
Hg  0.1362  0.5000  0.4491
Hg  0.4500  0.5000  0.1367
Hg  0.5500  0.5000  0.8633
Hg  0.8638  0.5000  0.5509

***

Record 2
Structure and computed PXRD pattern of Ag4AuSe3 (DFT lattice parameters and positions (PBE); CuKα).
Lines closer than 0.1° are merged.

The 8 most intense peaks (2θ from 5° to 70°), low angle first:
- d 4.162, I = 43.4
- d 3.549, I = 56.5
- d 3.033, I = 44.8
- d 2.939, I = 45.4
- d 2.746, I = 100.0
- d 2.134, I = 40.4
- d 2.125, I = 39.8
- d 1.993, I = 47.6

Atomic structure:
Lattice parameters (Å, degrees): 7.3547 7.3547 9.0324 104.83 104.83 54.73
Element x y z (fractional)
Ag  0.0336  0.3490  0.4361
Ag  0.1309  0.8691  0.5000
Ag  0.2182  0.6916  0.8079
Ag  0.3490  0.0336  0.9361
Ag  0.3682  0.7742  0.1397
Ag  0.6916  0.2182  0.3079
Ag  0.7742  0.3682  0.6397
Ag  0.8691  0.1309  0.0000
Au  0.4561  0.9924  0.6206
Au  0.9924  0.4561  0.1206
Se  0.1726  0.3493  0.7621
Se  0.3493  0.1726  0.2621
Se  0.5731  0.6391  0.4251
Se  0.6391  0.5731  0.9251
Se  0.8300  0.9989  0.6853
Se  0.9989  0.8300  0.1853

***

Record 3
Structure and computed PXRD pattern of Li3Al3Ir2 (DFT lattice parameters and positions (PBE); CuKα).
Lines closer than 0.1° are merged.

The 8 most intense peaks (2θ from 5° to 70°), low angle first:
- d 3.480, I = 100.0
- d 3.014, I = 34.5
- d 2.131, I = 65.5
- d 1.817, I = 48.7
- d 1.740, I = 9.6
- d 1.507, I = 10.9
- d 1.383, I = 19.8
- d 1.348, I = 12.3

Atomic structure:
Lattice parameters (Å, degrees): 7.3780 7.3780 7.3780 33.59 33.59 33.59
Element x y z (fractional)
Li  0.0000  0.0000  0.0000
Li  0.1238  0.1238  0.1238
Li  0.6279  0.6279  0.6279
Al  0.2521  0.2521  0.2521
Al  0.5025  0.5025  0.5025
Al  0.7491  0.7491  0.7491
Ir  0.3796  0.3796  0.3796
Ir  0.8732  0.8732  0.8732

***

Record 4
Structure and computed PXRD pattern of Li2TbHoSe4 (DFT lattice parameters and positions (PBE); CuKα).
Lines closer than 0.1° are merged.

The 8 most intense peaks (2θ from 5° to 70°), low angle first:
- d 6.496, I = 51.5
- d 3.469, I = 38.1
- d 2.856, I = 100.0
- d 2.615, I = 19.1
- d 2.035, I = 37.7
- d 2.004, I = 35.9
- d 1.657, I = 19.6
- d 1.428, I = 11.9

Atomic structure:
Lattice parameters (Å, degrees): 6.9069 4.0715 7.0485 90.00 109.85 90.00
Element x y z (fractional)
Li  0.0000  0.0000  0.0000
Li  0.0000  0.5000  0.5000
Tb  0.5000  0.0000  0.5000
Ho  0.5000  0.5000  0.0000
Se  0.2464  0.5000  0.2471
Se  0.2473  0.0000  0.7512
Se  0.7527  0.0000  0.2488
Se  0.7536  0.5000  0.7529